This entry pairs a crystal structure of NiPH15O11 with its simulated powder diffractogram. Radiation: Cu Kα (λ = 1.5418 Å). Structure: the PBE+U geometry in Alexandria.
Intensities are scaled so that the largest is 100.

Crystal structure
abc: 7.0268 6.1355 11.3625
angles: 90.00 90.00 90.00
Positions (direct):
Ni  0.0000  0.1227  0.0000
Ni  0.5000  0.8773  0.5000
P  0.0000  0.4972  0.3632
P  0.5000  0.5028  0.8632
H  0.0000  0.3595  0.5477
H  0.0000  0.6771  0.0358
H  0.0000  0.7828  0.1664
H  0.1118  0.0588  0.6176
H  0.1140  0.4993  0.8838
H  0.1837  0.6858  0.5734
H  0.1869  0.8784  0.3601
H  0.2028  0.2779  0.1929
H  0.2445  0.8759  0.8745
H  0.2555  0.1241  0.3745
H  0.2972  0.7221  0.6929
H  0.3131  0.1216  0.8601
H  0.3163  0.3142  0.0734
H  0.3860  0.5007  0.3838
H  0.3882  0.9412  0.1176
H  0.5000  0.2172  0.6664
H  0.5000  0.3229  0.5358
H  0.5000  0.6405  0.0477
H  0.6118  0.9412  0.1176
H  0.6140  0.5007  0.3838
H  0.6837  0.3142  0.0734
H  0.6869  0.1216  0.8601
H  0.7028  0.7221  0.6929
H  0.7445  0.1241  0.3745
H  0.7555  0.8759  0.8745
H  0.7972  0.2779  0.1929
H  0.8131  0.8784  0.3601
H  0.8163  0.6858  0.5734
H  0.8860  0.4993  0.8838
H  0.8882  0.0588  0.6176
O  0.0000  0.1549  0.6127
O  0.0000  0.4544  0.9310
O  0.0000  0.5139  0.5060
O  0.0000  0.7337  0.3191
O  0.0000  0.8154  0.0807
O  0.1833  0.3773  0.3270
O  0.2018  0.0291  0.8822
O  0.2258  0.2138  0.1125
O  0.2742  0.7862  0.6125
O  0.2982  0.9709  0.3822
O  0.3167  0.6227  0.8270
O  0.5000  0.1846  0.5807
O  0.5000  0.2663  0.8191
O  0.5000  0.4861  0.0060
O  0.5000  0.5456  0.4310
O  0.5000  0.8451  0.1127
O  0.6833  0.6227  0.8270
O  0.7018  0.9709  0.3822
O  0.7258  0.7862  0.6125
O  0.7742  0.2138  0.1125
O  0.7982  0.0291  0.8822
O  0.8167  0.3773  0.3270

Main lines, in order of rising 2θ (2θ from 15° to 90°):
15.60°, intensity 62, (0 0 2); 16.42°, intensity 31, (0 1 1); 20.75°, intensity 100, (1 1 1); 21.31°, intensity 31, (0 1 2); 26.74°, intensity 43, (1 0 3); 29.90°, intensity 25, (2 0 2); 30.35°, intensity 26, (2 1 1); 33.19°, intensity 26, (0 2 2)